Calculated powder X-ray diffraction pattern
Compound: KLiW6O18
Radiation: copper Kα
Structure: a DFT-relaxed cell (GGA+U, Alexandria)
Intensities are scaled so that the largest is 1000.

Most intense lines, 2θ = 15–90°, in order of falling intensity:
2θ (°), I/Imax
27.29, 1000
22.89, 541
35.89, 511
26.69, 221
54.97, 214
48.29, 167
53.98, 167
23.58, 149
33.09, 126
61.51, 118

Atomic structure:
```
26
Lattice="6.5218 -3.7817 0.0000 6.5218 3.7817 0.0000 -0.0214 0.0000 7.7699" Properties=species:S:1:pos:R:3 pbc="T T T"
K 0.0000 0.0000 0.0000
Li 4.1878 0.0000 3.1391
W 6.4930 0.0000 5.0611
W 6.5127 0.0000 1.1496
W 9.7402 1.8697 5.0622
W 9.7616 1.8719 1.1443
W 9.7402 -1.8697 5.0622
W 9.7616 -1.8719 1.1443
O 3.4275 1.8556 3.1062
O 5.0995 1.3748 0.9912
O 5.0892 1.3573 5.2017
O 2.7802 0.0000 1.2166
O 2.7896 0.0000 4.9673
O 7.9139 1.3767 1.3019
O 7.8909 1.3547 4.8777
O 6.1958 0.0000 3.1408
O 9.5686 1.8934 6.9742
O 3.4275 -1.8556 3.1062
O 6.7114 0.0000 6.9391
O 5.0892 -1.3573 5.2017
O 5.0995 -1.3748 0.9912
O 7.8909 -1.3547 4.8777
O 10.2402 0.0000 5.0996
O 7.9139 -1.3767 1.3019
O 10.2825 0.0000 1.0953
O 9.5686 -1.8934 6.9742
```